No. 1
Theoretical powder diffraction line list of Sc2Co for a wavelength of 1.5418 Å, from a DFT-relaxed cell (GGA-PBE, Alexandria).

Crystal structure
a = 3.259 Å, b = 11.425 Å, c = 6.127 Å
α = 90.00°, β = 90.00°, γ = 90.00°
Space group Cmc2_1 (No. 36)
Inequivalent atoms, fractional coordinates:
Sc1 0.000 0.022 0.000 x4
Sc2 0.000 0.283 0.172 x4
Co1 0.000 0.381 0.786 x4

Most intense lines, 15° ≤ 2θ ≤ 90°, most intense first:
41.21 deg, d = 2.191 Å, intensity 100; 36.28 deg, d = 2.476 Å, intensity 97; 39.24 deg, d = 2.296 Å, intensity 91; 21.27 deg, d = 4.178 Å, intensity 73; 33.18 deg, d = 2.700 Å, intensity 57; 43.31 deg, d = 2.089 Å, intensity 44; 32.08 deg, d = 2.790 Å, intensity 33; 50.17 deg, d = 1.818 Å, intensity 32; 34.65 deg, d = 2.589 Å, intensity 29; 47.27 deg, d = 1.923 Å, intensity 28; 53.56 deg, d = 1.711 Å, intensity 25; 56.47 deg, d = 1.630 Å, intensity 25


No. 2
Theoretical powder diffraction line list of ScCo13 for a wavelength of 1.5418 Å, from a DFT-relaxed cell (GGA-PBE, Alexandria).

Crystal structure
a = 11.124 Å, b = 11.124 Å, c = 11.124 Å
α = 90.00°, β = 90.00°, γ = 90.00°
Space group Fm-3c (No. 226)
Inequivalent atoms, fractional coordinates:
Sc1 0.250 0.250 0.250 x8
Co1 0.000 0.000 0.000 x8
Co2 0.000 0.120 0.178 x96

Most intense lines, 15° ≤ 2θ ≤ 90°, most intense first:
48.41 deg, d = 1.880 Å, intensity 100; 39.69 deg, d = 2.271 Å, intensity 53; 49.14 deg, d = 1.854 Å, intensity 46; 15.93 deg, d = 5.562 Å, intensity 35; 36.11 deg, d = 2.487 Å, intensity 19; 78.30 deg, d = 1.221 Å, intensity 16; 82.77 deg, d = 1.166 Å, intensity 10; 85.53 deg, d = 1.135 Å, intensity 8; 51.99 deg, d = 1.759 Å, intensity 8; 87.74 deg, d = 1.112 Å, intensity 7; 57.39 deg, d = 1.606 Å, intensity 7; 67.34 deg, d = 1.391 Å, intensity 6


No. 3
Theoretical powder diffraction line list of Sc2Co for a wavelength of 1.5418 Å, from a DFT-relaxed cell (GGA-PBE, Alexandria).

Crystal structure
a = 3.262 Å, b = 14.082 Å, c = 4.729 Å
α = 90.00°, β = 90.00°, γ = 90.00°
Space group Cmcm (No. 63)
Inequivalent atoms, fractional coordinates:
Sc1 0.000 0.072 0.250 x4
Sc2 0.000 0.215 0.750 x4
Co1 0.000 0.426 0.250 x4

Most intense lines, 15° ≤ 2θ ≤ 90°, most intense first:
38.63 deg, d = 2.331 Å, intensity 100; 38.06 deg, d = 2.364 Å, intensity 31; 38.35 deg, d = 2.347 Å, intensity 16; 69.15 deg, d = 1.358 Å, intensity 15; 22.65 deg, d = 3.926 Å, intensity 12; 46.74 deg, d = 1.943 Å, intensity 11; 55.14 deg, d = 1.666 Å, intensity 10; 56.42 deg, d = 1.631 Å, intensity 9; 70.09 deg, d = 1.342 Å, intensity 9; 83.69 deg, d = 1.156 Å, intensity 8; 66.19 deg, d = 1.412 Å, intensity 6; 42.40 deg, d = 2.132 Å, intensity 6


No. 4
Theoretical powder diffraction line list of ScCo3Si7 for a wavelength of 1.5418 Å, from a DFT-relaxed cell (GGA-PBE, Alexandria).

Crystal structure
a = 7.2420 Å, b = 7.2420 Å, c = 18.9002 Å
α = 90.00°, β = 90.00°, γ = 120.00°
Space group R-3c (No. 167, hexagonal axes)
Inequivalent atoms, fractional coordinates:
Sc1 0.0000 0.0000 0.0000 x6
Co1 0.0000 0.3222 0.2500 x18
Si1 0.0000 0.0000 0.2500 x6
Si2 0.0130 0.2115 0.1366 x36

Most intense lines, 15° ≤ 2θ ≤ 90°, most intense first:
28.42 deg, d = 3.140 Å, intensity 100; 52.57 deg, d = 1.741 Å, intensity 86; 50.22 deg, d = 1.817 Å, intensity 70; 43.28 deg, d = 2.091 Å, intensity 51; 42.67 deg, d = 2.119 Å, intensity 42; 38.27 deg, d = 2.352 Å, intensity 37; 37.86 deg, d = 2.377 Å, intensity 30; 40.82 deg, d = 2.211 Å, intensity 29; 75.59 deg, d = 1.258 Å, intensity 26; 70.40 deg, d = 1.337 Å, intensity 22; 34.32 deg, d = 2.613 Å, intensity 16; 75.78 deg, d = 1.255 Å, intensity 14


No. 5
Theoretical powder diffraction line list of Sc3Co2Si2 for a wavelength of 1.5418 Å, from a DFT-relaxed cell (GGA-PBE, Alexandria).

Crystal structure
a = 5.215 Å, b = 7.246 Å, c = 12.005 Å
α = 90.00°, β = 90.00°, γ = 90.00°
Space group Pbcm (No. 57)
Inequivalent atoms, fractional coordinates:
Sc1 0.127 0.243 0.250 x4
Sc2 0.359 0.602 0.101 x8
Co1 0.142 0.532 0.588 x8
Si1 0.124 0.250 0.000 x4
Si2 0.363 0.607 0.750 x4

Most intense lines, 15° ≤ 2θ ≤ 90°, most intense first:
43.26 deg, d = 2.091 Å, intensity 100; 36.67 deg, d = 2.451 Å, intensity 52; 41.19 deg, d = 2.192 Å, intensity 47; 38.97 deg, d = 2.311 Å, intensity 37; 37.67 deg, d = 2.388 Å, intensity 36; 45.32 deg, d = 2.001 Å, intensity 29; 37.41 deg, d = 2.404 Å, intensity 24; 47.29 deg, d = 1.922 Å, intensity 22; 17.00 deg, d = 5.215 Å, intensity 19; 42.79 deg, d = 2.113 Å, intensity 18; 22.27 deg, d = 3.992 Å, intensity 17; 28.78 deg, d = 3.102 Å, intensity 16


No. 6
Theoretical powder diffraction line list of Sm2ScCo9 for a wavelength of 1.5418 Å, from a DFT-relaxed cell (GGA-PBE, Alexandria).

Crystal structure
a = 4.9182 Å, b = 4.9182 Å, c = 24.8031 Å
α = 90.00°, β = 90.00°, γ = 120.00°
Space group R-3m (No. 166, hexagonal axes)
Inequivalent atoms, fractional coordinates:
Sm1 0.0000 0.0000 0.1385 x6
Sc1 0.0000 0.0000 0.0000 x3
Co1 0.0000 0.0000 0.3338 x6
Co2 0.0000 0.0000 0.5000 x3
Co3 0.0008 0.5004 0.0786 x18

Most intense lines, 15° ≤ 2θ ≤ 90°, most intense first:
42.79 deg, d = 2.113 Å, intensity 100; 36.54 deg, d = 2.459 Å, intensity 52; 32.88 deg, d = 2.724 Å, intensity 46; 35.82 deg, d = 2.507 Å, intensity 45; 42.61 deg, d = 2.122 Å, intensity 40; 46.40 deg, d = 1.957 Å, intensity 36; 45.52 deg, d = 1.993 Å, intensity 35; 25.37 deg, d = 3.511 Å, intensity 29; 77.66 deg, d = 1.230 Å, intensity 26; 45.01 deg, d = 2.014 Å, intensity 26; 70.08 deg, d = 1.343 Å, intensity 21; 68.95 deg, d = 1.362 Å, intensity 18


No. 7
Theoretical powder diffraction line list of SmSc3Co for a wavelength of 1.5418 Å, from a DFT-relaxed cell (GGA-PBE, Alexandria).

Crystal structure
a = 12.387 Å, b = 3.552 Å, c = 10.512 Å
α = 90.00°, β = 92.12°, γ = 90.00°
Space group C2/m (No. 12)
Inequivalent atoms, fractional coordinates:
Sm1 0.152 0.000 0.085 x4
Sc1 0.060 0.000 0.374 x4
Sc2 0.076 0.500 0.821 x4
Sc3 0.224 0.000 0.632 x4
Co1 0.091 0.500 0.560 x4

Most intense lines, 15° ≤ 2θ ≤ 90°, most intense first:
34.60 deg, d = 2.593 Å, intensity 100; 36.57 deg, d = 2.457 Å, intensity 58; 16.89 deg, d = 5.251 Å, intensity 50; 27.39 deg, d = 3.257 Å, intensity 50; 29.78 deg, d = 3.000 Å, intensity 45; 31.10 deg, d = 2.876 Å, intensity 42; 33.05 deg, d = 2.711 Å, intensity 41; 22.60 deg, d = 3.934 Å, intensity 36; 36.68 deg, d = 2.450 Å, intensity 33; 33.28 deg, d = 2.692 Å, intensity 30; 51.30 deg, d = 1.781 Å, intensity 28; 34.15 deg, d = 2.626 Å, intensity 25


No. 8
Theoretical powder diffraction line list of ScCoSn4 for a wavelength of 1.5418 Å, from a DFT-relaxed cell (GGA-PBE, Alexandria).

Crystal structure
a = 6.450 Å, b = 6.450 Å, c = 12.700 Å
α = 90.00°, β = 90.00°, γ = 90.00°
Space group I4/mcm (No. 140)
Inequivalent atoms, fractional coordinates:
Sc1 0.000 0.000 0.000 x4
Co1 0.000 0.000 0.250 x4
Sn1 0.166 0.334 0.146 x16

Most intense lines, 15° ≤ 2θ ≤ 90°, most intense first:
37.74 deg, d = 2.384 Å, intensity 100; 31.81 deg, d = 2.813 Å, intensity 67; 39.84 deg, d = 2.263 Å, intensity 37; 44.42 deg, d = 2.040 Å, intensity 34; 60.26 deg, d = 1.536 Å, intensity 30; 63.38 deg, d = 1.468 Å, intensity 28; 34.42 deg, d = 2.606 Å, intensity 25; 28.10 deg, d = 3.175 Å, intensity 23; 68.42 deg, d = 1.371 Å, intensity 21; 81.19 deg, d = 1.185 Å, intensity 13; 59.54 deg, d = 1.553 Å, intensity 12; 83.97 deg, d = 1.152 Å, intensity 11


No. 9
Theoretical powder diffraction line list of SrScZn2Co for a wavelength of 1.5418 Å, from a DFT-relaxed cell (GGA-PBE, Alexandria).

Crystal structure
a = 4.877 Å, b = 4.877 Å, c = 4.521 Å
α = 90.00°, β = 90.00°, γ = 90.00°
Space group P4/mmm (No. 123)
Inequivalent atoms, fractional coordinates:
Sr1 0.000 0.000 0.000 x1
Sc1 0.500 0.500 0.000 x1
Zn1 0.000 0.500 0.500 x2
Co1 0.500 0.500 0.500 x1

Most intense lines, 15° ≤ 2θ ≤ 90°, most intense first:
32.66 deg, d = 2.742 Å, intensity 100; 36.86 deg, d = 2.438 Å, intensity 90; 55.43 deg, d = 1.658 Å, intensity 52; 26.89 deg, d = 3.315 Å, intensity 40; 39.88 deg, d = 2.260 Å, intensity 36; 53.12 deg, d = 1.724 Å, intensity 30; 63.77 deg, d = 1.460 Å, intensity 27; 68.44 deg, d = 1.371 Å, intensity 27; 46.22 deg, d = 1.964 Å, intensity 18; 89.98 deg, d = 1.090 Å, intensity 13; 67.88 deg, d = 1.381 Å, intensity 11; 19.64 deg, d = 4.521 Å, intensity 10


No. 10
Theoretical powder diffraction line list of TbScCo for a wavelength of 1.5418 Å, from a DFT-relaxed cell (GGA-PBE, Alexandria).

Crystal structure
a = 6.449 Å, b = 5.728 Å, c = 9.343 Å
α = 90.00°, β = 127.89°, γ = 90.00°
Space group P2_1/c (No. 14)
Inequivalent atoms, fractional coordinates:
Tb1 0.181 0.129 0.389 x4
Sc1 0.343 0.621 0.635 x4
Co1 0.346 0.657 0.368 x4

Most intense lines, 15° ≤ 2θ ≤ 90°, most intense first:
34.29 deg, d = 2.615 Å, intensity 100; 19.18 deg, d = 4.627 Å, intensity 95; 33.09 deg, d = 2.707 Å, intensity 50; 31.00 deg, d = 2.884 Å, intensity 47; 38.72 deg, d = 2.326 Å, intensity 47; 42.13 deg, d = 2.145 Å, intensity 46; 24.74 deg, d = 3.599 Å, intensity 41; 28.80 deg, d = 3.100 Å, intensity 32; 35.26 deg, d = 2.546 Å, intensity 31; 33.57 deg, d = 2.670 Å, intensity 31; 27.79 deg, d = 3.210 Å, intensity 28; 37.92 deg, d = 2.373 Å, intensity 28


No. 11
Theoretical powder diffraction line list of TbScCo10 for a wavelength of 1.5418 Å, from a DFT-relaxed cell (GGA-PBE, Alexandria).

Crystal structure
a = 3.965 Å, b = 4.840 Å, c = 8.415 Å
α = 90.00°, β = 90.00°, γ = 90.00°
Space group Pmmm (No. 47)
Inequivalent atoms, fractional coordinates:
Tb1 0.000 0.000 0.000 x1
Sc1 0.000 0.500 0.500 x1
Co1 0.000 0.000 0.342 x2
Co2 0.000 0.500 0.183 x2
Co3 0.500 0.000 0.500 x1
Co4 0.500 0.251 0.254 x4
Co5 0.500 0.500 0.000 x1

Most intense lines, 15° ≤ 2θ ≤ 90°, most intense first:
43.77 deg, d = 2.068 Å, intensity 100; 31.02 deg, d = 2.883 Å, intensity 33; 45.77 deg, d = 1.982 Å, intensity 30; 43.12 deg, d = 2.098 Å, intensity 21; 64.66 deg, d = 1.442 Å, intensity 19; 37.04 deg, d = 2.427 Å, intensity 17; 71.54 deg, d = 1.319 Å, intensity 14; 83.27 deg, d = 1.160 Å, intensity 14; 49.14 deg, d = 1.854 Å, intensity 13; 42.99 deg, d = 2.104 Å, intensity 12; 60.31 deg, d = 1.535 Å, intensity 12; 78.89 deg, d = 1.213 Å, intensity 10


No. 12
Theoretical powder diffraction line list of Sc4Co2Tc for a wavelength of 1.5418 Å, from a DFT-relaxed cell (GGA-PBE, Alexandria).

Crystal structure
a = 4.553 Å, b = 7.890 Å, c = 13.368 Å
α = 90.00°, β = 90.00°, γ = 90.00°
Space group Cmcm (No. 63)
Inequivalent atoms, fractional coordinates:
Sc1 0.000 0.000 0.000 x4
Sc2 0.000 0.333 0.129 x8
Sc3 0.000 0.334 0.750 x4
Co1 0.000 0.333 0.559 x8
Tc1 0.000 0.001 0.750 x4

Most intense lines, 15° ≤ 2θ ≤ 90°, most intense first:
39.58 deg, d = 2.277 Å, intensity 100; 40.77 deg, d = 2.213 Å, intensity 47; 35.20 deg, d = 2.550 Å, intensity 45; 26.24 deg, d = 3.397 Å, intensity 22; 71.81 deg, d = 1.315 Å, intensity 15; 58.13 deg, d = 1.587 Å, intensity 15; 72.62 deg, d = 1.302 Å, intensity 15; 53.99 deg, d = 1.698 Å, intensity 12; 68.98 deg, d = 1.361 Å, intensity 11; 57.91 deg, d = 1.592 Å, intensity 10; 85.24 deg, d = 1.138 Å, intensity 9; 48.37 deg, d = 1.882 Å, intensity 9